Starting from a cell relaxed with GGA-PBE, the powder diffraction line list of Ba3Tb2HoTe6 was simulated for λ = 1.5418 Å (Cu Kα).
Kinematic intensities with the Lorentz-polarization factor, no thermal factor.

Peak list (10 most intense, 10 to 80 degrees two-theta, by angle)
2θ/deg  I/Imax  index
27.14  100  1 3 1
38.15  36  2 0 2
39.36  38  0 6 0
48.43  10  4 0 0
48.49  13  2 6 -2
55.97  13  2 6 2
62.45  14  3 3 3
64.11  13  4 6 0
64.19  6  1 9 1
70.54  8  5 3 1

Cell and atoms:
Cell: 7.9370 13.7222 8.2599 Å, 90.00 108.67 90.00°
Space group C2/m (No. 12)
One atom of each set of equivalent atoms:
1 Ba 0.0000 0.0000 0.0000 [2 per cell]
2 Ba 0.0000 0.3324 0.0000 [4 per cell]
3 Tb 0.0000 0.1662 0.5000 [4 per cell]
4 Ho 0.0000 0.5000 0.5000 [2 per cell]
5 Te 0.2371 0.3343 0.7149 [8 per cell]
6 Te 0.2409 0.0000 0.7160 [4 per cell]

Starting from a cell relaxed with GGA-PBE, the powder diffraction line list of BaInI5 was simulated for λ = 1.5418 Å (Cu Kα).
Kinematic intensities with the Lorentz-polarization factor, no thermal factor.

Peak list (10 most intense, 10 to 80 degrees two-theta, by angle)
2θ/deg  I/Imax  index
15.86  100  2 0 0
16.18  100  1 1 -2
20.38  61  2 2 -1
23.15  38  1 1 -3
25.64  56  2 2 1
26.44  57  1 3 -2
29.07  51  2 0 -4
32.03  38  4 0 0
32.72  70  3 3 0
42.64  31  4 4 -3

Cell and atoms:
Cell: 12.5916 12.0965 12.2935 Å, 90.00 117.40 90.00°
Space group C2/c (No. 15)
One atom of each set of equivalent atoms:
1 Ba 0.0000 0.0000 0.0000 [4 per cell]
2 In 0.0000 0.4057 0.2500 [4 per cell]
3 I 0.0000 0.1109 0.7500 [4 per cell]
4 I 0.0083 0.2903 0.4479 [8 per cell]
5 I 0.1898 0.4461 0.8352 [8 per cell]

Starting from a cell relaxed with GGA-PBE, the powder diffraction line list of Ba3InI7 was simulated for λ = 1.5418 Å (Cu Kα).
Kinematic intensities with the Lorentz-polarization factor, no thermal factor.

Peak list (10 most intense, 10 to 80 degrees two-theta, by angle)
2θ/deg  I/Imax  index
18.27  25  2 2 0
18.81  25  0 2 2
21.40  9  2 0 2
29.76  28  4 0 0
30.53  100  2 4 2
31.13  24  0 0 4
36.33  10  2 2 4
43.60  20  4 0 4
53.31  18  6 4 2
55.01  15  2 4 6

Cell and atoms:
Cell: 12.0058 16.5265 11.4938 Å, 90.00 90.00 90.00°
Space group C222_1 (No. 20)
One atom of each set of equivalent atoms:
1 Ba 0.0000 0.0000 0.0000 [4 per cell]
2 Ba 0.2277 0.2667 0.2506 [8 per cell]
3 In 0.0000 0.5000 0.0000 [4 per cell]
4 I 0.0000 0.1285 0.2500 [4 per cell]
5 I 0.0000 0.1381 0.7500 [4 per cell]
6 I 0.0000 0.3928 0.2500 [4 per cell]
7 I 0.2412 0.3760 0.5211 [8 per cell]
8 I 0.2417 0.3759 0.9800 [8 per cell]

Starting from a cell relaxed with GGA-PBE, the powder diffraction line list of Ba4InI10 was simulated for λ = 1.5418 Å (Cu Kα).
Kinematic intensities with the Lorentz-polarization factor, no thermal factor.

Peak list (10 most intense, 10 to 80 degrees two-theta, by angle)
2θ/deg  I/Imax  index
18.46  36  0 1 5
18.90  14  0 0 15
21.48  24  1 0 10
30.28  100  1 1 0
30.83  84  0 1 20
35.94  17  1 1 15
43.76  32  2 0 20
53.79  19  3 0 0
54.14  33  1 2 20
71.76  14  3 1 20

Cell and atoms:
Cell: 5.9036 5.9036 70.4209 Å, 90.00 90.00 120.00°
Space group R-3m (No. 166, hexagonal axes)
One atom of each set of equivalent atoms:
1 Ba 0.0000 0.0000 0.1035 [6 per cell]
2 Ba 0.0000 0.0000 0.2989 [6 per cell]
3 In 0.0000 0.0000 0.5000 [3 per cell]
4 I 0.0000 0.0000 0.0518 [6 per cell]
5 I 0.0000 0.0000 0.1548 [6 per cell]
6 I 0.0000 0.0000 0.2473 [6 per cell]
7 I 0.0000 0.0000 0.3505 [6 per cell]
8 I 0.0000 0.0000 0.4535 [6 per cell]

Starting from a cell relaxed with GGA-PBE, the powder diffraction line list of Ba2In3I7 was simulated for λ = 1.5418 Å (Cu Kα).
Kinematic intensities with the Lorentz-polarization factor, no thermal factor.

Peak list (10 most intense, 10 to 80 degrees two-theta, by angle)
2θ/deg  I/Imax  index
20.62  33  5 1 1
22.77  37  0 2 1
23.64  100  7 1 0
25.49  39  7 1 1
26.33  36  5 1 2
28.74  32  2 2 2
30.29  27  1 1 3
30.87  33  8 0 2
31.53  38  3 1 3
36.25  82  5 3 1

Cell and atoms:
Cell: 29.2822 8.5692 9.4834 Å, 90.00 90.00 90.00°
Space group Cmc2_1 (No. 36)
One atom of each set of equivalent atoms:
1 Ba 0.1067 0.2488 0.0000 [8 per cell]
2 In 0.0000 0.2353 0.4252 [4 per cell]
3 In 0.1931 0.2512 0.6015 [8 per cell]
4 I 0.0000 0.4153 0.0713 [4 per cell]
5 I 0.0754 0.0914 0.6735 [8 per cell]
6 I 0.1351 0.4142 0.3200 [8 per cell]
7 I 0.2125 0.0851 0.9425 [8 per cell]

Starting from a cell relaxed with GGA-PBE, the powder diffraction line list of BaMn2InI8 was simulated for λ = 1.5418 Å (Cu Kα).
Kinematic intensities with the Lorentz-polarization factor, no thermal factor.

Peak list (10 most intense, 10 to 80 degrees two-theta, by angle)
2θ/deg  I/Imax  index
16.04  13  0 1 1
25.19  100  1 1 1
25.52  24  0 0 3
29.27  80  2 -1 2
41.65  44  3 0 0
42.08  31  1 1 4
49.30  15  4 -2 1
49.49  22  3 0 3
51.72  15  2 2 2
54.99  13  0 3 4

Cell and atoms:
Cell: 7.5114 7.5114 10.4708 Å, 90.00 90.00 120.00°
Space group P-3 (No. 147)
One atom of each set of equivalent atoms:
1 Ba 0.0000 0.0000 0.0000 [1 per cell]
2 Mn 0.3333 0.6667 0.7554 [2 per cell]
3 In 0.0000 0.0000 0.5000 [1 per cell]
4 I 0.0049 0.6878 0.3025 [6 per cell]
5 I 0.3333 0.6667 0.0077 [2 per cell]

Starting from a cell relaxed with GGA-PBE, the powder diffraction line list of Rb2BaInI5 was simulated for λ = 1.5418 Å (Cu Kα).
Kinematic intensities with the Lorentz-polarization factor, no thermal factor.

Peak list (10 most intense, 10 to 80 degrees two-theta, by angle)
2θ/deg  I/Imax  index
20.50  37  1 1 2
23.63  100  1 1 3
25.15  33  0 6 1
26.77  38  0 6 2
27.49  48  0 2 5
28.81  18  1 5 2
31.17  23  1 5 3
34.63  41  2 0 0
37.33  24  1 7 3
37.85  18  1 5 5

Cell and atoms:
Cell: 5.1805 21.7247 16.9769 Å, 90.00 90.00 90.00°
Space group Cmc2_1 (No. 36)
One atom of each set of equivalent atoms:
1 Rb 0.0000 0.0799 0.0000 [4 per cell]
2 Rb 0.0000 0.1271 0.6457 [4 per cell]
3 Ba 0.0000 0.2333 0.3775 [4 per cell]
4 In 0.0000 0.4500 0.7955 [4 per cell]
5 I 0.0000 0.0796 0.4197 [4 per cell]
6 I 0.0000 0.2535 0.0167 [4 per cell]
7 I 0.0000 0.2902 0.7440 [4 per cell]
8 I 0.0000 0.3889 0.3376 [4 per cell]
9 I 0.0000 0.4957 0.1106 [4 per cell]

Starting from a cell relaxed with GGA-PBE, the powder diffraction line list of BaZrIn2I8 was simulated for λ = 1.5418 Å (Cu Kα).
Kinematic intensities with the Lorentz-polarization factor, no thermal factor.

Peak list (10 most intense, 10 to 80 degrees two-theta, by angle)
2θ/deg  I/Imax  index
16.03  55  1 1 0
21.79  25  1 0 -2
24.44  100  1 -1 2
24.88  36  1 2 0
25.00  26  1 -2 0
31.96  51  2 1 2
32.07  34  -2 1 2
32.50  16  2 -2 0
37.10  22  0 0 4
38.15  42  0 3 2

Cell and atoms:
Cell: 7.5552 8.1020 9.6921 Å, 89.98 89.96 89.66°
Space group P-1 (No. 2)
One atom of each set of equivalent atoms:
1 Ba 0.0000 0.0000 0.0000 [1 per cell]
2 Zr 0.0000 0.0000 0.5000 [1 per cell]
3 In 0.4995 0.4998 0.2563 [2 per cell]
4 I 0.1953 0.6997 0.5002 [2 per cell]
5 I 0.2363 0.1329 0.7103 [2 per cell]
6 I 0.2365 0.1325 0.2893 [2 per cell]
7 I 0.2722 0.6590 0.9999 [2 per cell]